Calculated powder XRD pattern of Na13Pd2 for Cu Kα (weighted mean of Kα1 and Kα2), from a structure optimized by DFT (PBE).
Peak positions follow from Bragg's law for the DFT cell and can differ from measured ones.

Principal peaks in the range 10 to 90 degrees two-theta, by intensity:
12.29 deg, rel. 100, (0 1 -1); 33.92 deg, rel. 48, (2 1 -2); 31.26 deg, rel. 42, (2 -2 1); 17.68 deg, rel. 41, (1 0 1); 15.86 deg, rel. 35, (1 -1 0); 16.08 deg, rel. 33, (1 0 -1); 23.50 deg, rel. 24, (1 -2 1); 18.86 deg, rel. 22, (0 1 1); 20.05 deg, rel. 22, (1 1 0); 36.00 deg, rel. 21, (-2 2 1)

Atomic structure:
```
data_Na13Pd2
_chemical_formula_sum 'Na13 Pd2'
_symmetry_space_group_name_H-M 'P -1'
_symmetry_Int_Tables_number 2
_symmetry_space_group_name_Hall '-P 1'
_cell_length_a 6.8046
_cell_length_b 8.1886
_cell_length_c 9.4153
_cell_angle_alpha 113.42
_cell_angle_beta 90.24
_cell_angle_gamma 102.08
loop_
_atom_site_label
_atom_site_fract_x
_atom_site_fract_y
_atom_site_fract_z
Na1 0.0000 0.0000 0.0000
Na2 0.0492 0.4348 0.6322
Na3 0.1668 0.9854 0.6559
Na4 0.2267 0.4232 0.0395
Na5 0.2890 0.9188 0.2603
Na6 0.4309 0.7714 0.8594
Na7 0.4825 0.6555 0.4391
Pd1 0.1947 0.2795 0.3051
```